[1]
For LiAl2V4O8, DFT lattice parameters and positions (GGA+U) gives the computed powder diffractogram in this record (Cu Kα).
Kinematic intensities with the Lorentz-polarization factor, no thermal factor.

The 10 most intense peaks (2θ = 10–90°), sorted by position:
2θ (°)	I_rel
18.3	738
35.1	155
37.1	267
42.5	1000
43.3	465
60.9	137
61.6	260
62.5	134
63.0	258
79.1	119

Atomic structure:
a b c (Å): 5.9014 5.9014 6.0906
angles (deg): 119.72 119.72 60.47
Atoms (fractional coordinates):
Li 0.0000 0.0000 0.0000
Al 0.0000 0.5000 0.0000
Al 0.5000 0.0000 0.0000
V 0.0000 0.5000 0.5000
V 0.5000 0.0000 0.5000
V 0.5000 0.5000 0.0000
V 0.5000 0.5000 0.5000
O 0.2439 0.7170 0.2151
O 0.2467 0.2467 0.2195
O 0.2529 0.2529 0.7805
O 0.2830 0.7561 0.7849
O 0.7170 0.2439 0.2151
O 0.7471 0.7471 0.2195
O 0.7533 0.7533 0.7805
O 0.7561 0.2830 0.7849



[2]
For Li2AlVO4, DFT lattice parameters and positions (GGA+U) gives the computed powder diffractogram in this record (Cu Kα).
Kinematic intensities with the Lorentz-polarization factor, no thermal factor.

The 10 most intense peaks (2θ = 10–90°), sorted by position:
2θ (°)	I_rel
15.9	579
21.1	347
22.1	479
23.7	995
27.9	513
32.0	1000
32.4	466
35.2	811
48.6	315
57.6	552

Atomic structure:
a b c (Å): 5.0975 11.0498 8.2068
angles (deg): 90.00 127.89 90.00
Atoms (fractional coordinates):
Li 0.0377 0.0755 0.2374
Li 0.0377 0.4245 0.7374
Li 0.1822 0.1646 0.9930
Li 0.1822 0.3354 0.4930
Li 0.8178 0.6646 0.5070
Li 0.8178 0.8354 0.0070
Li 0.9623 0.5755 0.2626
Li 0.9623 0.9245 0.7626
Al 0.4289 0.0846 0.7449
Al 0.4289 0.4154 0.2449
Al 0.5711 0.5846 0.7551
Al 0.5711 0.9154 0.2551
V 0.3175 0.6681 0.0050
V 0.3175 0.8319 0.5050
V 0.6825 0.1681 0.4950
V 0.6825 0.3319 0.9950
O 0.0708 0.0915 0.7369
O 0.0708 0.4085 0.2369
O 0.2410 0.6643 0.5309
O 0.2410 0.8357 0.0309
O 0.3223 0.1613 0.5196
O 0.3223 0.3387 0.0196
O 0.4605 0.0682 0.2497
O 0.4605 0.4318 0.7497
O 0.5395 0.5682 0.2503
O 0.5395 0.9318 0.7503
O 0.6777 0.6613 0.9804
O 0.6777 0.8387 0.4804
O 0.7590 0.1643 0.9691
O 0.7590 0.3357 0.4691
O 0.9292 0.5915 0.7631
O 0.9292 0.9085 0.2631



[3]
For LiAl2V4O8, DFT lattice parameters and positions (GGA+U) gives the computed powder diffractogram in this record (Cu Kα).
Kinematic intensities with the Lorentz-polarization factor, no thermal factor.

The 10 most intense peaks (2θ = 10–90°), sorted by position:
2θ (°)	I_rel
17.3	1000
34.5	269
34.6	280
38.4	477
38.7	404
39.3	469
49.4	403
49.6	398
50.7	374
61.4	260

Atomic structure:
a b c (Å): 5.8901 5.9857 6.0171
angles (deg): 119.59 105.03 103.53
Atoms (fractional coordinates):
Li 0.0000 0.0000 0.0000
Al 0.1438 0.4186 0.7206
Al 0.5834 0.4636 0.6101
V 0.0508 0.6950 0.3396
V 0.5318 0.4189 0.0989
V 0.5695 0.9714 0.1139
V 0.5873 0.9681 0.6155
O 0.3001 0.6438 0.1110
O 0.3079 0.1843 0.6480
O 0.3273 0.6518 0.6553
O 0.3612 0.2025 0.2217
O 0.7547 0.6944 0.0155
O 0.7827 0.7098 0.5512
O 0.7942 0.2402 0.0579
O 0.8007 0.2611 0.5651



[4]
For Li2AlVO4, DFT lattice parameters and positions (GGA+U) gives the computed powder diffractogram in this record (Cu Kα).
Kinematic intensities with the Lorentz-polarization factor, no thermal factor.

The 10 most intense peaks (2θ = 10–90°), sorted by position:
2θ (°)	I_rel
15.8	505
24.0	1000
28.0	364
32.0	311
32.4	650
36.2	550
37.2	331
57.3	369
65.8	255
69.7	232

Atomic structure:
a b c (Å): 6.3631 5.5949 4.9580
angles (deg): 90.00 90.00 90.00
Atoms (fractional coordinates):
Li 0.2492 0.1663 0.0000
Li 0.2508 0.8337 0.5000
Li 0.7492 0.8337 0.5000
Li 0.7508 0.1663 0.0000
Al 0.0000 0.6722 0.0077
Al 0.5000 0.3278 0.5077
V 0.0000 0.3336 0.4989
V 0.5000 0.6664 0.9989
O 0.0000 0.3679 0.8940
O 0.0000 0.6589 0.3686
O 0.2352 0.8210 0.9052
O 0.2648 0.1790 0.4052
O 0.5000 0.3411 0.8686
O 0.5000 0.6321 0.3940
O 0.7352 0.1790 0.4052
O 0.7648 0.8210 0.9052